Record 1
For Ca3UO6, a cell relaxed with PBE gives the computed powder diffraction line list in this record (Cu Kα (weighted mean of Kα1 and Kα2)).
Intensities are scaled so that the largest is 100.

Main lines, in order of rising 2θ (10 to 80 degrees two-theta):
| 2θ (°) | intensity |
| --- | --- |
| 18.2 | 100 |
| 18.6 | 36 |
| 18.8 | 44 |
| 21.4 | 71 |
| 29.8 | 37 |
| 30.1 | 80 |
| 30.4 | 78 |
| 35.4 | 35 |
| 43.6 | 37 |
| 53.3 | 35 |

Crystal structure
Lattice parameters (Å, degrees): 5.7616 5.9919 10.1223 90.00 123.96 90.00
Atoms (fractional coordinates):
Ca (0.0000, 0.0000, 0.0000)
Ca (0.0000, 0.5000, 0.5000)
Ca (0.2241, 0.0516, 0.7401)
Ca (0.2241, 0.4484, 0.2401)
Ca (0.7759, 0.5516, 0.7599)
Ca (0.7759, 0.9484, 0.2599)
U (0.5000, 0.0000, 0.5000)
U (0.5000, 0.5000, 0.0000)
O (0.1494, 0.1788, 0.4452)
O (0.1494, 0.3212, 0.9452)
O (0.2396, 0.7155, 0.4165)
O (0.2396, 0.7845, 0.9165)
O (0.3983, 0.0711, 0.2689)
O (0.3983, 0.4289, 0.7689)
O (0.6017, 0.5711, 0.2311)
O (0.6017, 0.9289, 0.7311)
O (0.7604, 0.2155, 0.0835)
O (0.7604, 0.2845, 0.5835)
O (0.8506, 0.6788, 0.0548)
O (0.8506, 0.8212, 0.5548)

***

Record 2
For Zr2Mo2Au, a cell relaxed with PBE gives the computed powder diffraction line list in this record (Cu Kα (weighted mean of Kα1 and Kα2)).
Intensities are scaled so that the largest is 100.

Main lines, in order of rising 2θ (10 to 80 degrees two-theta):
| 2θ (°) | intensity |
| --- | --- |
| 22.1 | 26 |
| 29.9 | 64 |
| 37.2 | 100 |
| 37.5 | 73 |
| 45.0 | 17 |
| 50.9 | 34 |
| 60.2 | 18 |
| 64.9 | 29 |
| 69.0 | 27 |
| 70.3 | 18 |

Crystal structure
Lattice parameters (Å, degrees): 3.5873 3.5873 16.1209 90.00 90.00 90.00
Atoms (fractional coordinates):
Zr (0.0000, 0.0000, 0.1035)
Zr (0.0000, 0.0000, 0.8965)
Zr (0.5000, 0.5000, 0.3965)
Zr (0.5000, 0.5000, 0.6035)
Mo (0.0000, 0.5000, 0.2500)
Mo (0.0000, 0.5000, 0.7500)
Mo (0.5000, 0.0000, 0.2500)
Mo (0.5000, 0.0000, 0.7500)
Au (0.0000, 0.0000, 0.5000)
Au (0.5000, 0.5000, 0.0000)

***

Record 3
For Ac6NiRh2I2, a cell relaxed with PBE gives the computed powder diffraction line list in this record (Cu Kα (weighted mean of Kα1 and Kα2)).
Intensities are scaled so that the largest is 100.

Main lines, in order of rising 2θ (10 to 80 degrees two-theta):
| 2θ (°) | intensity |
| --- | --- |
| 10.3 | 35 |
| 24.5 | 26 |
| 27.3 | 100 |
| 34.0 | 26 |
| 36.6 | 21 |
| 41.3 | 42 |
| 45.5 | 17 |
| 50.3 | 19 |
| 52.7 | 19 |
| 67.0 | 16 |

Crystal structure
Lattice parameters (Å, degrees): 7.5659 7.5659 8.9567 98.08 98.08 119.96
Atoms (fractional coordinates):
Ac (0.1056, 0.4362, 0.8159)
Ac (0.2276, 0.2276, 0.1833)
Ac (0.4362, 0.1056, 0.8159)
Ac (0.5638, 0.8944, 0.1841)
Ac (0.7724, 0.7724, 0.8167)
Ac (0.8944, 0.5638, 0.1841)
Ni (0.5000, 0.5000, 0.0000)
Rh (0.1696, 0.8304, 0.0000)
Rh (0.8304, 0.1696, 0.0000)
I (0.3337, 0.6663, 0.5000)
I (0.6663, 0.3337, 0.5000)

***

Please write out number 3 again, unchanged.
For Ac6NiRh2I2, a cell relaxed with PBE gives the computed powder diffraction line list in this record (Cu Kα (weighted mean of Kα1 and Kα2)).
Intensities are scaled so that the largest is 100.

Main lines, in order of rising 2θ (10 to 80 degrees two-theta):
| 2θ (°) | intensity |
| --- | --- |
| 10.3 | 35 |
| 24.5 | 26 |
| 27.3 | 100 |
| 34.0 | 26 |
| 36.6 | 21 |
| 41.3 | 42 |
| 45.5 | 17 |
| 50.3 | 19 |
| 52.7 | 19 |
| 67.0 | 16 |

Crystal structure
Lattice parameters (Å, degrees): 7.5659 7.5659 8.9567 98.08 98.08 119.96
Atoms (fractional coordinates):
Ac (0.1056, 0.4362, 0.8159)
Ac (0.2276, 0.2276, 0.1833)
Ac (0.4362, 0.1056, 0.8159)
Ac (0.5638, 0.8944, 0.1841)
Ac (0.7724, 0.7724, 0.8167)
Ac (0.8944, 0.5638, 0.1841)
Ni (0.5000, 0.5000, 0.0000)
Rh (0.1696, 0.8304, 0.0000)
Rh (0.8304, 0.1696, 0.0000)
I (0.3337, 0.6663, 0.5000)
I (0.6663, 0.3337, 0.5000)